Starting from DFT lattice parameters and positions (PBE+U), the X-ray powder pattern of SrCrIrO6 was calculated for Cu Kα (λ = 1.5418 Å).
No peak broadening, texture or thermal motion is included.

Peak list (8 most intense, 2θ from 5° to 70°, in order of rising 2θ)
Position (°2θ), d [Å], I (rel.)
16.5, 5.363, 29
19.6, 4.519, 26
25.8, 3.456, 100
34.4, 2.609, 32
38.4, 2.346, 15
43.5, 2.082, 22
48.7, 1.870, 40
56.5, 1.628, 22

Structural model:
```
data_SrCrIrO6
_symmetry_space_group_name_H-M 'P 3 1 2'
_symmetry_Int_Tables_number 149
_cell_length_a 5.2185
_cell_length_b 5.2185
_cell_length_c 5.3631
_cell_angle_alpha 90.00
_cell_angle_beta 90.00
_cell_angle_gamma 120.00
loop_
_symmetry_equiv_pos_as_xyz
'x,y,z'
'-y,x-y,z'
'-x+y,-x,z'
'-y,-x,-z'
'-x+y,y,-z'
'x,x-y,-z'
loop_
_atom_site_label
_atom_site_fract_x
_atom_site_fract_y
_atom_site_fract_z
Sr1 0.0000 0.0000 0.0000
Cr1 0.3333 0.6667 0.5000
Ir1 0.6667 0.3333 0.5000
O1 0.3811 0.0068 0.6992
```